1.
For Mg5Rh2, a DFT-relaxed cell (PBE, Alexandria) gives the theoretical PXRD pattern in this record (Cu Kα (weighted mean of Kα1 and Kα2)).
Neutral-atom scattering factors, no anomalous dispersion.

Structural model:
Cell lengths 7.9088, 4.5815, 7.3117 Å; angles 90.00, 111.15, 90.00 degrees
Space group C2/m (No. 12)
Asymmetric unit:
Mg 0.0000 0.0000 0.0000 x2
Mg 0.0933 0.5000 0.7810 x4
Mg 0.1398 0.0000 0.4194 x4
Rh 0.2281 0.5000 0.1809 x4

The 10 most intense peaks (5 to 70 degrees two-theta), sorted by position:
| 2theta | d_spacing | Rel. int. | index |
| --- | --- | --- | --- |
| 12.98 | 6.819 | 31.9 | 0 0 1 |
| 24.09 | 3.694 | 100.0 | 2 0 0 |
| 28.50 | 3.132 | 32.8 | 1 1 1 |
| 38.27 | 2.352 | 85.5 | 2 0 -3 |
| 39.33 | 2.291 | 37.6 | 0 2 0 |
| 39.44 | 2.285 | 74.6 | 3 1 -1 |
| 42.06 | 2.148 | 17.7 | 2 0 2 |
| 47.90 | 1.899 | 19.0 | 3 1 1 |
| 56.06 | 1.641 | 18.4 | 2 2 -3 |
| 57.13 | 1.612 | 28.1 | 3 1 -4 |

=====

2.
For Mg5Rh3, a DFT-relaxed cell (PBE, Alexandria) gives the theoretical PXRD pattern in this record (Cu Kα (weighted mean of Kα1 and Kα2)).
Neutral-atom scattering factors, no anomalous dispersion.

Structural model:
Cell lengths 7.7186, 7.7186, 5.3363 Å; angles 90.00, 90.00, 120.00 degrees
Space group P6_3/mcm (No. 193)
Asymmetric unit:
Mg 0.0000 0.2560 0.2500 x6
Mg 0.3333 0.6667 0.0000 x4
Rh 0.0000 0.3944 0.7500 x6

The 10 most intense peaks (5 to 70 degrees two-theta), sorted by position:
| 2theta | d_spacing | Rel. int. | index |
| --- | --- | --- | --- |
| 13.25 | 6.684 | 38.5 | 1 0 0 |
| 23.05 | 3.859 | 36.7 | 1 1 0 |
| 26.67 | 3.342 | 20.5 | 2 0 0 |
| 28.54 | 3.127 | 100.0 | 1 1 1 |
| 33.59 | 2.668 | 39.5 | 0 0 2 |
| 39.46 | 2.283 | 86.4 | 2 1 1 |
| 40.48 | 2.228 | 45.1 | 3 0 0 |
| 41.13 | 2.195 | 55.3 | 1 1 2 |
| 43.40 | 2.085 | 24.1 | 2 0 2 |
| 52.23 | 1.751 | 51.9 | 3 1 1 |